Theoretical powder diffractogram
Compound: KLiF3
Radiation: Cu Ka
Structure: a DFT-relaxed cell (GGA-PBE, Alexandria)
Kinematic intensities with the Lorentz-polarization factor, no thermal factor.

Peak list (6 most intense, 2θ = 10–90°, in order of rising 2θ)
2θ 29.49, rel. 61
2θ 35.57, rel. 90
2θ 36.07, rel. 100
2θ 43.07, rel. 33
2θ 46.85, rel. 31
2θ 63.88, rel. 35

Cell lengths 6.067, 6.067, 6.067 Å; angles 57.44, 57.44, 57.44 degrees
Fractional coordinates of all 10 atoms:
K1 0.122 0.122 0.122
K2 0.878 0.878 0.878
Li1 0.345 0.345 0.345
Li2 0.655 0.655 0.655
F1 0.065 0.636 0.507
F2 0.364 0.493 0.935
F3 0.493 0.935 0.364
F4 0.507 0.065 0.636
F5 0.636 0.507 0.065
F6 0.935 0.364 0.493